# 1
# Tb2Sm12Ho
Theoretical powder diffraction line list, Cu Kα (weighted mean of Kα1 and Kα2). Input: a structure optimized by DFT (GGA-PBE).
Neutral-atom scattering factors, no anomalous dispersion.

The 10 most intense peaks (10 to 80 degrees two-theta), low angle first:
| 2θ/deg | intensity | h k l |
| --- | --- | --- |
| 28.82 | 27 | 2 0 4 |
| 29.60 | 45 | 0 2 7 |
| 30.30 | 66 | 2 2 2 |
| 31.09 | 67 | 0 4 0 |
| 31.38 | 20 | 2 2 3 |
| 32.82 | 100 | 0 2 8 |
| 36.72 | 37 | 2 2 6 |
| 56.42 | 20 | 0 6 8 |
| 58.01 | 20 | 2 4 11 |
| 61.02 | 20 | 4 4 0 |

Structural model:
Unit cell a=7.1503 b=11.5075 c=24.8105 alpha=90.00 beta=90.00 gamma=90.00
Space group Cmme (No. 67)
Unique sites:
Tb: 0.0000 0.2500 0.2296
Tb: 0.0000 0.2500 0.7656
Sm: 0.0000 0.0011 0.5753
Sm: 0.0000 0.0228 0.0603
Sm: 0.2321 0.2500 0.9148
Sm: 0.2489 0.2500 0.3718
Sm: 0.2500 0.0000 0.1747
Sm: 0.2500 0.0000 0.3011
Ho: 0.0000 0.2500 0.4995

---

# 2
# Tb4SmHo6
Theoretical powder diffraction line list, Cu Kα (weighted mean of Kα1 and Kα2). Input: a structure optimized by DFT (GGA-PBE).
Neutral-atom scattering factors, no anomalous dispersion.

The 10 most intense peaks (10 to 80 degrees two-theta), low angle first:
| 2θ/deg | intensity | h k l |
| --- | --- | --- |
| 13.65 | 23 | 0 0 2 |
| 27.07 | 100 | 2 0 2 |
| 32.19 | 98 | 1 1 4 |
| 33.19 | 60 | 2 2 0 |
| 33.43 | 34 | 2 1 3 |
| 35.98 | 36 | 3 0 1 |
| 39.84 | 29 | 3 1 2 |
| 46.91 | 24 | 3 1 4 |
| 55.67 | 38 | 4 2 2 |
| 62.17 | 22 | 2 0 8 |

Structural model:
Unit cell a=7.6353 b=7.6353 c=12.9789 alpha=90.00 beta=90.00 gamma=90.00
Space group I-42m (No. 121)
Unique sites:
Tb: 0.1682 0.1682 0.4241
Sm: 0.0000 0.0000 0.0000
Ho: 0.0000 0.5000 0.0000
Ho: 0.2455 0.2455 0.1854

---

# 3
# Tb7Sm6Ho16
Theoretical powder diffraction line list, Cu Kα (weighted mean of Kα1 and Kα2). Input: a structure optimized by DFT (GGA-PBE).
Neutral-atom scattering factors, no anomalous dispersion.

The 10 most intense peaks (10 to 80 degrees two-theta), low angle first:
| 2θ/deg | intensity | h k l |
| --- | --- | --- |
| 27.77 | 6 | 4 2 2 |
| 29.49 | 12 | 3 3 3 |
| 32.17 | 100 | 4 4 0 |
| 33.69 | 6 | 5 3 1 |
| 44.20 | 6 | 7 3 1 |
| 46.14 | 14 | 8 0 0 |
| 57.36 | 25 | 8 4 4 |
| 60.89 | 6 | 7 7 3 |
| 67.31 | 7 | 8 8 0 |
| 76.58 | 7 | 12 4 0 |

Structural model:
Unit cell a=15.7378 b=15.7378 c=15.7378 alpha=90.00 beta=90.00 gamma=90.00
Space group Fm-3m (No. 225)
Unique sites:
Tb: 0.0000 0.0000 0.0000
Tb: 0.0000 0.2500 0.2500
Sm: 0.0000 0.0000 0.2726
Ho: 0.1260 0.1260 0.1260
Ho: 0.1510 0.1510 0.3490

---

# 4
# Tb2Sm5Ho2
Theoretical powder diffraction line list, Cu Kα (weighted mean of Kα1 and Kα2). Input: a structure optimized by DFT (GGA-PBE).
Neutral-atom scattering factors, no anomalous dispersion.

The 10 most intense peaks (10 to 80 degrees two-theta), low angle first:
| 2θ/deg | intensity | h k l |
| --- | --- | --- |
| 28.25 | 61 | 1 1 1 |
| 29.80 | 28 | 3 1 -1 |
| 30.88 | 100 | 6 0 -2 |
| 31.02 | 92 | 6 0 1 |
| 31.54 | 86 | 0 0 3 |
| 32.85 | 74 | 1 1 -2 |
| 34.22 | 66 | 5 1 0 |
| 50.43 | 28 | 5 1 3 |
| 61.95 | 53 | 6 2 -2 |
| 62.30 | 25 | 0 2 3 |

Structural model:
Unit cell a=20.1448 b=3.5034 c=8.6814 alpha=90.00 beta=101.45 gamma=90.00
Space group C2/m (No. 12)
Unique sites:
Tb: 0.1016 0.0000 0.3354
Sm: 0.0000 0.5000 0.0000
Sm: 0.0560 0.5000 0.6695
Sm: 0.2198 0.5000 0.6463
Ho: 0.1772 0.5000 0.0347

---

# 5
# Tb6SmHo4
Theoretical powder diffraction line list, Cu Kα (weighted mean of Kα1 and Kα2). Input: a structure optimized by DFT (GGA-PBE).
Neutral-atom scattering factors, no anomalous dispersion.

The 10 most intense peaks (10 to 80 degrees two-theta), low angle first:
| 2θ/deg | intensity | h k l |
| --- | --- | --- |
| 30.45 | 71 | 1 1 7 |
| 30.74 | 58 | 0 2 7 |
| 31.22 | 74 | 2 0 0 |
| 32.04 | 100 | 1 3 0 |
| 32.24 | 35 | 1 3 1 |
| 33.40 | 57 | 1 1 8 |
| 44.38 | 43 | 2 2 7 |
| 56.08 | 21 | 3 3 0 |
| 56.47 | 18 | 1 5 7 |
| 57.79 | 24 | 0 6 1 |

Structural model:
Unit cell a=5.7304 b=9.5970 c=25.6018 alpha=90.00 beta=90.00 gamma=90.00
Space group Cmcm (No. 63)
Unique sites:
Tb: 0.0000 0.0000 0.0000
Tb: 0.0000 0.0333 0.2500
Tb: 0.0000 0.3022 0.6024
Tb: 0.0000 0.3674 0.1811
Sm: 0.0000 0.3019 0.7500
Ho: 0.0000 0.0387 0.1215
Ho: 0.0000 0.3472 0.0427

---

# 6
# Tb2SmHo2
Theoretical powder diffraction line list, Cu Kα (weighted mean of Kα1 and Kα2). Input: a structure optimized by DFT (GGA-PBE).
Neutral-atom scattering factors, no anomalous dispersion.

The 10 most intense peaks (10 to 80 degrees two-theta), low angle first:
| 2θ/deg | intensity | h k l |
| --- | --- | --- |
| 27.03 | 11 | 2 2 0 |
| 30.30 | 59 | 3 1 0 |
| 30.70 | 27 | 2 0 1 |
| 32.20 | 100 | 2 1 1 |
| 34.67 | 11 | 3 2 0 |
| 46.97 | 12 | 4 1 1 |
| 48.85 | 11 | 0 0 2 |
| 55.99 | 15 | 5 1 1 |
| 58.57 | 18 | 3 1 2 |
| 58.77 | 17 | 5 2 1 |

Structural model:
Unit cell a=9.3290 b=9.3290 c=3.7288 alpha=90.00 beta=90.00 gamma=90.00
Space group P4/mbm (No. 127)
Unique sites:
Tb: 0.1267 0.3733 0.0000
Sm: 0.0000 0.0000 0.0000
Ho: 0.1709 0.6709 0.5000

---

# 7
# Tb5Sm6Ho
Theoretical powder diffraction line list, Cu Kα (weighted mean of Kα1 and Kα2). Input: a structure optimized by DFT (GGA-PBE).
Neutral-atom scattering factors, no anomalous dispersion.

The 6 most intense peaks (10 to 80 degrees two-theta), low angle first:
| 2θ/deg | intensity | h k l |
| --- | --- | --- |
| 30.50 | 100 | 1 2 3 |
| 35.37 | 51 | 2 0 0 |
| 50.88 | 36 | 2 4 0 |
| 60.50 | 43 | 3 2 3 |
| 63.49 | 12 | 2 4 6 |
| 74.82 | 6 | 4 0 0 |

Structural model:
Unit cell a=5.0764 b=10.1452 c=15.2346 alpha=90.00 beta=90.00 gamma=90.00
Space group Immm (No. 71)
Unique sites:
Tb: 0.0000 0.0000 0.0000
Tb: 0.0000 0.0000 0.3335
Tb: 0.0000 0.5000 0.3334
Sm: 0.0000 0.2503 0.1666
Sm: 0.0000 0.2496 0.5000
Ho: 0.0000 0.5000 0.0000

---

# 8
# Tb5SmHo5
Theoretical powder diffraction line list, Cu Kα (weighted mean of Kα1 and Kα2). Input: a structure optimized by DFT (GGA-PBE).
Neutral-atom scattering factors, no anomalous dispersion.

The 10 most intense peaks (10 to 80 degrees two-theta), low angle first:
| 2θ/deg | intensity | h k l |
| --- | --- | --- |
| 28.72 | 100 | 1 0 3 |
| 29.51 | 86 | 1 1 0 |
| 30.52 | 29 | 1 1 1 |
| 33.40 | 25 | 1 1 2 |
| 35.10 | 35 | 2 0 1 |
| 35.41 | 34 | 1 0 4 |
| 37.71 | 48 | 2 0 2 |
| 46.74 | 22 | 2 0 4 |
| 51.86 | 39 | 2 1 3 |
| 61.24 | 28 | 2 2 0 |

Structural model:
Unit cell a=6.0539 b=6.0539 c=11.5829 alpha=90.00 beta=90.00 gamma=120.00
Space group P-6m2 (No. 187)
Unique sites:
Tb: 0.0000 0.0000 0.0000
Tb: 0.3333 0.6667 0.3217
Tb: 0.6667 0.3333 0.1565
Sm: 0.3333 0.6667 0.0000
Ho: 0.0000 0.0000 0.2651
Ho: 0.3348 0.1674 0.5000

---

# 9
# Tb4SmHo15
Theoretical powder diffraction line list, Cu Kα (weighted mean of Kα1 and Kα2). Input: a structure optimized by DFT (GGA-PBE).
Neutral-atom scattering factors, no anomalous dispersion.

The 6 most intense peaks (10 to 80 degrees two-theta), low angle first:
| 2θ/deg | intensity | h k l |
| --- | --- | --- |
| 30.98 | 100 | 1 1 5 |
| 35.92 | 51 | 2 0 0 |
| 51.71 | 36 | 2 2 0 |
| 61.51 | 43 | 3 1 5 |
| 64.57 | 12 | 2 2 10 |
| 76.16 | 6 | 4 0 0 |

Structural model:
Unit cell a=5.0016 b=5.0016 c=24.9807 alpha=90.00 beta=90.00 gamma=90.00
Space group P4/mmm (No. 123)
Unique sites:
Tb: 0.0000 0.0000 0.0999
Tb: 0.0000 0.0000 0.2997
Sm: 0.0000 0.0000 0.5000
Ho: 0.0000 0.5000 0.0000
Ho: 0.0000 0.5000 0.1998
Ho: 0.0000 0.5000 0.3994
Ho: 0.5000 0.5000 0.1000
Ho: 0.5000 0.5000 0.2995
Ho: 0.5000 0.5000 0.5000

---

# 10
# TbSm3Ho8
Theoretical powder diffraction line list, Cu Kα (weighted mean of Kα1 and Kα2). Input: a structure optimized by DFT (GGA-PBE).
Neutral-atom scattering factors, no anomalous dispersion.

The 10 most intense peaks (10 to 80 degrees two-theta), low angle first:
| 2θ/deg | intensity | h k l |
| --- | --- | --- |
| 22.28 | 18 | 0 2 2 |
| 31.42 | 52 | 0 0 4 |
| 31.80 | 100 | 1 3 2 |
| 31.97 | 46 | 2 0 2 |
| 32.08 | 23 | 2 2 0 |
| 35.63 | 19 | 0 4 2 |
| 35.84 | 40 | 2 2 2 |
| 51.69 | 22 | 3 3 2 |
| 56.89 | 19 | 2 6 0 |
| 66.45 | 24 | 2 6 4 |

Structural model:
Unit cell a=6.4295 b=11.2399 c=11.3872 alpha=90.00 beta=90.00 gamma=90.00
Space group Immm (No. 71)
Unique sites:
Tb: 0.0000 0.0000 0.0000
Sm: 0.0000 0.0000 0.5000
Sm: 0.0000 0.5000 0.2521
Ho: 0.0000 0.1685 0.2498
Ho: 0.2487 0.2527 0.5000

---

# 11
# Tb2Sm4Ho3
Theoretical powder diffraction line list, Cu Kα (weighted mean of Kα1 and Kα2). Input: a structure optimized by DFT (GGA-PBE).
Neutral-atom scattering factors, no anomalous dispersion.

The 10 most intense peaks (10 to 80 degrees two-theta), low angle first:
| 2θ/deg | intensity | h k l |
| --- | --- | --- |
| 28.60 | 46 | 1 0 0 |
| 30.41 | 55 | 0 0 9 |
| 31.70 | 60 | 1 0 4 |
| 33.33 | 100 | 0 1 5 |
| 42.24 | 28 | 0 1 9 |
| 50.67 | 38 | 1 1 0 |
| 56.98 | 31 | 1 0 14 |
| 60.25 | 43 | 1 1 9 |
| 62.01 | 17 | 2 0 5 |
| 79.70 | 12 | 0 2 14 |

Structural model:
Unit cell a=3.6036 b=3.6036 c=26.4498 alpha=90.00 beta=90.00 gamma=120.00
Space group P3m1 (No. 156)
Unique sites:
Tb: 0.0000 0.0000 0.0000
Tb: 0.0000 0.0000 0.2118
Sm: 0.0000 0.0000 0.3441
Sm: 0.0000 0.0000 0.5599
Sm: 0.3333 0.6667 0.6722
Sm: 0.3333 0.6667 0.8900
Ho: 0.0000 0.0000 0.7810
Ho: 0.3333 0.6667 0.1073
Ho: 0.3333 0.6667 0.4502

---

# 12
# Tb5SmHo7
Theoretical powder diffraction line list, Cu Kα (weighted mean of Kα1 and Kα2). Input: a structure optimized by DFT (GGA-PBE).
Neutral-atom scattering factors, no anomalous dispersion.

The 10 most intense peaks (10 to 80 degrees two-theta), low angle first:
| 2θ/deg | intensity | h k l |
| --- | --- | --- |
| 26.75 | 26 | 2 0 0 |
| 27.60 | 30 | 1 3 0 |
| 31.01 | 100 | 0 0 4 |
| 31.32 | 56 | 2 2 0 |
| 31.73 | 80 | 1 3 2 |
| 35.06 | 78 | 2 2 2 |
| 35.95 | 28 | 0 4 2 |
| 55.14 | 28 | 4 0 0 |
| 56.98 | 26 | 2 6 0 |
| 57.82 | 31 | 2 2 6 |

Structural model:
Unit cell a=6.6657 b=11.0881 c=11.5333 alpha=90.00 beta=90.00 gamma=90.00
Space group Imm2 (No. 44)
Unique sites:
Tb: 0.0000 0.0000 0.0000
Tb: 0.2325 0.2718 0.5007
Sm: 0.0000 0.5000 0.7000
Ho: 0.0000 0.0000 0.5023
Ho: 0.0000 0.1694 0.2520
Ho: 0.0000 0.1693 0.7506
Ho: 0.0000 0.5000 0.0042
Ho: 0.0000 0.5000 0.3087